Tl7InPb5: computed PXRD pattern (Cu Kα, 1.54184 Å), based on DFT lattice parameters and positions (PBE).
Intensities are scaled so that the largest is 100.

Peak list (8 most intense, 2θ = 10–90°, by angle)
hkl, Position (°2θ), Rel. int.
2 2 1, 29.61, 57
4 2 -1, 30.54, 62
3 1 1, 30.68, 29
1 3 1, 32.14, 100
3 3 -1, 32.72, 86
2 0 -2, 33.39, 85
5 5 0, 53.16, 30
1 3 -3, 58.50, 30

Cell and atoms:
```
data_Tl7InPb5
_cell_length_a 14.996
_cell_length_b 10.828
_cell_length_c 5.373
_cell_angle_alpha 90.00
_cell_angle_beta 108.48
_cell_angle_gamma 90.00
_space_group_name_H-M_alt 'C 1 m 1'
_space_group_IT_number 8
_space_group_name_Hall 'C -2y'
loop_
_atom_site_label
_atom_site_fract_x
_atom_site_fract_y
_atom_site_fract_z
Tl1 0.000 0.000 0.000
Tl2 0.084 0.500 0.119
Tl3 0.199 0.355 0.735
Tl4 0.215 0.175 0.246
Tl5 0.324 0.500 0.354
In1 0.198 0.000 0.731
Pb1 0.009 0.195 0.508
Pb2 0.392 0.193 0.908
Pb3 0.429 0.000 0.456
```